Diffraction record for BaH8Rh2. The powder diffractogram is computed, not measured: it uses a structure optimized by DFT (PBE) and CuKα.
Lines closer than 0.1° are merged.

Most intense lines, 5° ≤ 2θ ≤ 70°, sorted by position:
2theta  d [Å]  I_rel
27.22  3.276  100
27.52  3.241  62
35.42  2.534  24
36.16  2.484  77
45.44  1.996  26
52.07  1.756  36

Structure:
Unit cell a=4.9658 b=4.9715 c=4.9715 alpha=118.71 beta=90.00 gamma=90.00
Atoms (fractional coordinates):
1 Ba 0.0000 0.0000 0.0000
2 H 0.2931 0.4783 0.4783
3 H 0.2934 0.5273 0.9501
4 H 0.2934 0.9501 0.5273
5 H 0.5000 0.2448 0.9751
6 H 0.5000 0.9751 0.2448
7 H 0.7069 0.4783 0.4783
8 H 0.7066 0.5273 0.9501
9 H 0.7066 0.9501 0.5273
10 Rh 0.5000 0.2623 0.6088
11 Rh 0.5000 0.6088 0.2623

***

Diffraction record for Ba2AcPtO5. The powder diffractogram is computed, not measured: it uses a structure optimized by DFT (PBE) and CuKα.
Lines closer than 0.1° are merged.

Most intense lines, 5° ≤ 2θ ≤ 70°, sorted by position:
2theta  d [Å]  I_rel
27.99  3.188  40
29.12  3.067  100
31.86  2.809  26
36.32  2.473  26
46.47  1.954  26
50.23  1.816  28

Structure:
Unit cell a=6.9960 b=6.9960 c=6.3752 alpha=90.00 beta=90.00 gamma=90.00
Atoms (fractional coordinates):
1 Ba 0.1682 0.3318 0.0000
2 Ba 0.3318 0.8318 0.0000
3 Ba 0.6682 0.1682 0.0000
4 Ba 0.8318 0.6682 0.0000
5 Ac 0.0000 0.0000 0.5000
6 Ac 0.5000 0.5000 0.5000
7 Pt 0.0000 0.5000 0.5000
8 Pt 0.5000 0.0000 0.5000
9 O 0.0000 0.0000 0.0000
10 O 0.1519 0.6519 0.2940
11 O 0.1519 0.6519 0.7060
12 O 0.3481 0.1519 0.2940
13 O 0.3481 0.1519 0.7060
14 O 0.5000 0.5000 0.0000
15 O 0.6519 0.8481 0.2940
16 O 0.6519 0.8481 0.7060
17 O 0.8481 0.3481 0.2940
18 O 0.8481 0.3481 0.7060